Simulated X-ray diffraction stick pattern of Co7P6H4O24 for Cu Kα, from a cell relaxed with GGA+U.

Main lines, by angle (2θ from 10° to 90°):
(hkl)  2θ (°)  I_rel
-1 1 1  18.49  18
1 -1 1  20.60  25
2 0 -1  28.32  22
1 -1 2  28.46  17
2 -1 0  29.54  17
0 2 1  30.11  100
2 1 -2  33.06  15
1 2 -3  34.33  15
0 3 -2  36.13  16
-4 1 1  58.19  20

Cell: 6.4398 7.8347 9.4566 Å, 104.61 109.31 101.33°
Space group P-1 (No. 2)
One atom of each set of equivalent atoms:
Co  0.0000  0.0000  0.0000 x1
Co  0.0531  0.7158  0.5149 x2
Co  0.2886  0.8154  0.2855 x2
Co  0.3877  0.4597  0.1108 x2
P  0.0858  0.5789  0.8272 x2
P  0.2265  0.1438  0.7802 x2
P  0.4106  0.2323  0.3731 x2
H  0.1831  0.8715  0.8160 x2
H  0.3733  0.4268  0.5651 x2
O  0.0118  0.1663  0.6623 x2
O  0.0518  0.5426  0.6516 x2
O  0.1151  0.7864  0.9067 x2
O  0.1267  0.5430  0.1637 x2
O  0.2133  0.9319  0.7305 x2
O  0.2258  0.1884  0.9500 x2
O  0.2576  0.0514  0.2344 x2
O  0.2724  0.2964  0.4778 x2
O  0.3049  0.5333  0.9119 x2
O  0.3797  0.7991  0.5101 x2
O  0.4506  0.2460  0.7726 x2
O  0.4840  0.3906  0.3153 x2